Diffraction record for Ca5Cr2N5. The powder diffraction line list is computed, not measured: it uses a crystal structure in Alexandria, relaxed with PBE and Cu Kα (weighted mean of Kα1 and Kα2).
Intensities are scaled so that the largest is 100.

Top 6 peaks for 10 to 80 degrees two-theta, most intense first:
2θ (°)  I_rel  (hkl)
37.73  100  3 0 1
31.51  79  2 2 0
47.15  44  2 2 2
49.97  38  3 1 2
34.16  31  0 0 2
30.15  28  2 1 1

Structural model:
```
data_Ca5Cr2N5
_chemical_formula_sum 'Ca10 Cr4 N10'
_cell_length_a 8.032
_cell_length_b 8.032
_cell_length_c 5.250
_cell_angle_alpha 90.00
_cell_angle_beta 90.00
_cell_angle_gamma 90.00
_space_group_name_H-M_alt 'I 4 m m'
_space_group_IT_number 107
_space_group_name_Hall 'I 4 -2'
loop_
_atom_site_label
_atom_site_type_symbol
_atom_site_fract_x
_atom_site_fract_y
_atom_site_fract_z
Ca1 Ca 0.000 0.000 0.000
Ca2 Ca 0.195 0.195 0.449
Cr1 Cr 0.000 0.500 0.364
N1 N 0.000 0.000 0.562
N2 N 0.000 0.319 0.121
```

Diffraction record for Ca2NdCrN4. The powder diffraction line list is computed, not measured: it uses a crystal structure in Alexandria, relaxed with PBE and Cu Kα (weighted mean of Kα1 and Kα2).
Intensities are scaled so that the largest is 100.

Top 6 peaks for 10 to 80 degrees two-theta, most intense first:
2θ (°)  I_rel  (hkl)
32.53  100  2 1 1
27.68  82  2 1 0
31.53  79  0 2 1
33.88  64  0 0 2
13.17  42  0 1 0
44.29  38  2 1 2

Structural model:
```
data_Ca2NdCrN4
_chemical_formula_sum 'Ca4 Nd2 Cr2 N8'
_cell_length_a 7.346
_cell_length_b 6.723
_cell_length_c 5.292
_cell_angle_alpha 90.00
_cell_angle_beta 90.00
_cell_angle_gamma 90.00
_space_group_name_H-M_alt 'P m n 21'
_space_group_IT_number 31
loop_
_space_group_symop_operation_xyz
'x,y,z'
'-x+1/2,-y,z+1/2'
'-x,y,z'
'x+1/2,-y,z+1/2'
loop_
_atom_site_label
_atom_site_type_symbol
_atom_site_fract_x
_atom_site_fract_y
_atom_site_fract_z
Ca1 Ca 0.244 0.161 0.000
Nd1 Nd 0.000 0.370 0.502
Cr1 Cr 0.000 0.680 0.041
N1 N 0.000 0.410 0.978
N2 N 0.000 0.691 0.376
N3 N 0.211 0.805 0.957
```

Diffraction record for Ca2PmCrN4. The powder diffraction line list is computed, not measured: it uses a crystal structure in Alexandria, relaxed with PBE and Cu Kα (weighted mean of Kα1 and Kα2).
Intensities are scaled so that the largest is 100.

Top 6 peaks for 10 to 80 degrees two-theta, most intense first:
2θ (°)  I_rel  (hkl)
32.64  100  2 1 1
27.72  82  2 1 0
31.58  79  0 2 1
34.18  62  0 0 2
60.18  45  4 2 1
13.15  44  0 1 0

Structural model:
```
data_Ca2PmCrN4
_chemical_formula_sum 'Ca4 Pm2 Cr2 N8'
_cell_length_a 7.329
_cell_length_b 6.732
_cell_length_c 5.246
_cell_angle_alpha 90.00
_cell_angle_beta 90.00
_cell_angle_gamma 90.00
_space_group_name_H-M_alt 'P m n 21'
_space_group_IT_number 31
loop_
_space_group_symop_operation_xyz
'x,y,z'
'-x+1/2,-y,z+1/2'
'-x,y,z'
'x+1/2,-y,z+1/2'
loop_
_atom_site_label
_atom_site_type_symbol
_atom_site_fract_x
_atom_site_fract_y
_atom_site_fract_z
Ca1 Ca 0.244 0.161 0.000
Pm1 Pm 0.000 0.369 0.503
Cr1 Cr 0.000 0.678 0.043
N1 N 0.000 0.409 0.978
N2 N 0.000 0.688 0.381
N3 N 0.213 0.804 0.963
```

Diffraction record for Ca2CrReN4. The powder diffraction line list is computed, not measured: it uses a crystal structure in Alexandria, relaxed with PBE and Cu Kα (weighted mean of Kα1 and Kα2).
Intensities are scaled so that the largest is 100.

Top 6 peaks for 10 to 80 degrees two-theta, most intense first:
2θ (°)  I_rel  (hkl)
34.34  100  1 2 1
22.13  51  1 0 1
32.21  36  2 0 0
20.00  34  0 1 1
20.55  33  1 1 0
30.76  30  0 0 2

Structural model:
```
data_Ca2CrReN4
_chemical_formula_sum 'Ca4 Cr2 Re2 N8'
_cell_length_a 5.558
_cell_length_b 6.875
_cell_length_c 5.813
_cell_angle_alpha 90.00
_cell_angle_beta 90.00
_cell_angle_gamma 90.00
_space_group_name_H-M_alt 'P m m n'
_space_group_IT_number 59
loop_
_space_group_symop_operation_xyz
'x,y,z'
'-x,-y,-z'
'-x+1/2,-y+1/2,z'
'x+1/2,y+1/2,-z'
'x+1/2,-y,-z'
'-x+1/2,y,z'
'-x,y+1/2,-z'
'x,-y+1/2,z'
loop_
_atom_site_label
_atom_site_type_symbol
_atom_site_fract_x
_atom_site_fract_y
_atom_site_fract_z
Ca1 Ca 0.250 0.000 0.239
Cr1 Cr 0.250 0.250 0.788
Re1 Re 0.250 0.750 0.784
N1 N 0.004 0.250 0.998
N2 N 0.250 0.004 0.648
```